Diffraction record for Pr3Ge13Pt4. The PXRD pattern is simulated, not measured: it uses a GGA-PBE-relaxed structure and Cu Kα.
Lines closer than 0.1° are merged.

Largest 10 diffraction maxima, low angle first, 15 to 90 degrees two-theta:
d_spacing	two_theta	I (rel.)
4.623	19.2	89
3.264	27.3	39
2.670	33.6	69
2.571	34.9	51
2.561	35.0	100
2.316	38.9	38
2.309	39.0	70
2.065	43.8	51
1.889	48.2	54
1.395	67.1	36

Unit cell a=9.2371 b=9.2371 c=9.2631 alpha=90.29 beta=90.29 gamma=90.03
Positions (direct):
Pr1 0.0004 0.9996 0.0000
Pr2 0.9996 0.0004 0.5000
Pr3 0.2513 0.4999 0.2488
Pr4 0.4999 0.2513 0.7488
Pr5 0.5005 0.7449 0.7509
Pr6 0.7449 0.5005 0.2509
Ge1 0.0000 0.3314 0.0977
Ge2 0.0031 0.6216 0.4832
Ge3 0.1145 0.2498 0.7505
Ge4 0.1279 0.7869 0.7498
Ge5 0.1593 0.8333 0.2499
Ge6 0.2498 0.1145 0.2505
Ge7 0.3124 0.4984 0.6118
Ge8 0.3314 0.0000 0.5977
Ge9 0.3345 0.9985 0.9068
Ge10 0.3372 0.4979 0.9149
Ge11 0.4984 0.3124 0.1118
Ge12 0.4979 0.3372 0.4149
Ge13 0.4977 0.7395 0.1386
Ge14 0.5021 0.9974 0.2468
Ge15 0.5029 0.6533 0.4202
Ge16 0.6146 0.9973 0.5029
Ge17 0.6216 0.0031 0.9832
Ge18 0.6533 0.5029 0.9202
Ge19 0.7395 0.4977 0.6386
Ge20 0.7869 0.1279 0.2498
Ge21 0.8291 0.8486 0.7521
Ge22 0.8333 0.1593 0.7499
Ge23 0.8486 0.8291 0.2521
Ge24 0.9974 0.5021 0.7468
Ge25 0.9973 0.6146 0.0029
Ge26 0.9985 0.3345 0.4068
Pt1 0.2449 0.2478 0.4988
Pt2 0.2478 0.2449 0.9988
Pt3 0.2510 0.7493 0.5007
Pt4 0.2516 0.7473 0.9999
Pt5 0.7473 0.2516 0.4999
Pt6 0.7493 0.2510 0.0007
Pt7 0.7502 0.7527 0.0037
Pt8 0.7527 0.7502 0.5037